# KTbVF6
Computed XRD peak list, Cu Kα. Input: DFT lattice parameters and positions (PBE+U).
Kinematic intensities with the Lorentz-polarization factor, no thermal factor.

Atomic structure:
a b c (Å): 7.8290 8.2449 11.3174
angles (deg): 90.00 90.00 90.00
Space group Imma (No. 74)
Symmetry-distinct sites (fractional):
K: 0.0000 0.2500 0.0298 [4 per cell]
Tb: 0.0000 0.0000 0.5000 [4 per cell]
V: 0.2500 0.2500 0.7500 [4 per cell]
F: 0.0000 0.2500 0.4256 [4 per cell]
F: 0.0000 0.2500 0.8072 [4 per cell]
F: 0.2120 0.0714 0.6158 [16 per cell]

The 8 most intense peaks (10 to 90 degrees two-theta), most intense first:
2θ = 13.8°, intensity 100; 2θ = 25.7°, intensity 91; 2θ = 27.7°, intensity 54; 2θ = 15.7°, intensity 43; 2θ = 13.3°, intensity 36; 2θ = 26.8°, intensity 34; 2θ = 34.2°, intensity 30; 2θ = 45.3°, intensity 25